# Ba3ZnMo2O9
Calculated powder X-ray diffraction pattern, a wavelength of 1.5418 Å. Input: a structure optimized by DFT (GGA+U).
No peak broadening, texture or thermal motion is included.

Top 8 peaks for 2θ = 15–90°, in order of rising 2θ:
- 2θ 30.5, I = 100.0, (1 1 0)
- 2θ 30.7, I = 97.6, (0 1 2)
- 2θ 43.8, I = 61.9, (2 0 2)
- 2θ 54.1, I = 19.7, (3 0 0)
- 2θ 54.3, I = 38.9, (1 2 2)
- 2θ 54.8, I = 18.8, (1 0 4)
- 2θ 63.4, I = 19.3, (2 2 0)
- 2θ 64.0, I = 18.5, (0 2 4)

Atomic structure:
Lattice parameters (Å, degrees): 5.8696 5.8696 7.0906 90.00 90.00 120.00
Space group P-3m1 (No. 164)
Unique sites:
Ba  0.0000  0.0000  0.0000 x1
Ba  0.3333  0.6667  0.6649 x2
Zn  0.0000  0.0000  0.5000 x1
Mo  0.3333  0.6667  0.1740 x2
O  0.0000  0.5000  0.0000 x3
O  0.1715  0.3431  0.3213 x6